The following is a computed powder XRD pattern of Ba3TiFe2O9. It was derived from a crystal structure in the Materials Project, relaxed with GGA+U, using copper Kα.
Peak positions follow from Bragg's law for the DFT cell and can differ from measured ones.

Crystal structure
Lattice parameters (Å, degrees): 5.775 5.775 14.119 90.00 90.00 120.00
Positions (direct):
Ba: 0.000 0.000 0.000
Ba: 0.000 0.000 0.500
Ba: 0.333 0.667 0.169
Ba: 0.333 0.667 0.849
Ba: 0.667 0.333 0.349
Ba: 0.667 0.333 0.669
Ti: 0.333 0.667 0.604
Ti: 0.667 0.333 0.104
Fe: 0.000 0.000 0.254
Fe: 0.000 0.000 0.754
Fe: 0.333 0.667 0.411
Fe: 0.667 0.333 0.911
O: 0.040 0.520 0.497
O: 0.168 0.335 0.669
O: 0.168 0.832 0.669
O: 0.171 0.342 0.334
O: 0.171 0.829 0.334
O: 0.335 0.168 0.169
O: 0.342 0.171 0.834
O: 0.480 0.520 0.497
O: 0.480 0.960 0.497
O: 0.520 0.040 0.997
O: 0.520 0.480 0.997
O: 0.658 0.829 0.334
O: 0.665 0.832 0.669
O: 0.829 0.171 0.834
O: 0.829 0.658 0.834
O: 0.832 0.168 0.169
O: 0.832 0.665 0.169
O: 0.960 0.480 0.997

Main lines, most intense first (2θ from 5° to 70°):
d_spacing, intensity, hkl
2.886, 100.0, 1 1 0
1.666, 29.6, 3 0 0
2.040, 24.1, 2 0 4
3.427, 23.4, 1 0 3
2.208, 17.6, 2 0 3
1.443, 15.8, 2 2 0